Structure and calculated X-ray powder pattern of V4CuO11 (the GGA+U geometry in Alexandria; Cu Kα X-rays).
Neutral-atom scattering factors, no anomalous dispersion.

Top 6 peaks for 15° ≤ 2θ ≤ 90°, by intensity:
d = 3.074 Å, 2θ = 29.05°, rel. 100.0; d = 2.980 Å, 2θ = 29.98°, rel. 71.7; d = 2.960 Å, 2θ = 30.19°, rel. 56.2; d = 4.573 Å, 2θ = 19.41°, rel. 46.6; d = 1.807 Å, 2θ = 50.52°, rel. 43.3; d = 3.225 Å, 2θ = 27.66°, rel. 36.3

a = 7.836 Å, b = 7.836 Å, c = 7.345 Å
α = 104.23°, β = 104.23°, γ = 26.66°
Sites, in units of the cell vectors:
1 V 0.000 0.000 0.000
2 V 0.332 0.332 0.668
3 V 0.542 0.542 0.661
4 V 0.774 0.774 0.976
5 Cu 0.660 0.660 0.311
6 O 0.038 0.038 0.733
7 O 0.101 0.101 0.170
8 O 0.235 0.235 0.501
9 O 0.299 0.299 0.920
10 O 0.418 0.418 0.545
11 O 0.493 0.493 0.918
12 O 0.580 0.580 0.467
13 O 0.666 0.666 0.833
14 O 0.754 0.754 0.193
15 O 0.847 0.847 0.742
16 O 0.918 0.918 0.114

Structure and calculated X-ray powder pattern of V2Cu3O11 (the GGA+U geometry in Alexandria; Cu Kα X-rays).
Neutral-atom scattering factors, no anomalous dispersion.

Top 6 peaks for 15° ≤ 2θ ≤ 90°, by intensity:
d = 2.527 Å, 2θ = 35.52°, rel. 100.0; d = 3.088 Å, 2θ = 28.91°, rel. 94.0; d = 2.702 Å, 2θ = 33.15°, rel. 69.3; d = 2.884 Å, 2θ = 31.01°, rel. 69.0; d = 4.720 Å, 2θ = 18.80°, rel. 51.9; d = 2.340 Å, 2θ = 38.47°, rel. 49.8

a = 6.173 Å, b = 6.173 Å, c = 7.471 Å
α = 97.81°, β = 97.81°, γ = 55.18°
Sites, in units of the cell vectors:
1 V 0.006 0.006 0.243
2 V 0.994 0.994 0.757
3 Cu 0.000 0.500 0.500
4 Cu 0.500 0.000 0.500
5 Cu 0.500 0.500 0.500
6 O 0.000 0.000 0.000
7 O 0.166 0.166 0.361
8 O 0.171 0.697 0.313
9 O 0.303 0.829 0.687
10 O 0.349 0.349 0.592
11 O 0.444 0.444 0.974
12 O 0.556 0.556 0.026
13 O 0.651 0.651 0.408
14 O 0.697 0.171 0.313
15 O 0.829 0.303 0.687
16 O 0.834 0.834 0.639

Structure and calculated X-ray powder pattern of V2Cu2O7 (the GGA+U geometry in Alexandria; Cu Kα X-rays).
Neutral-atom scattering factors, no anomalous dispersion.

Top 6 peaks for 15° ≤ 2θ ≤ 90°, by intensity:
d = 3.381 Å, 2θ = 26.36°, rel. 100.0; d = 3.071 Å, 2θ = 29.07°, rel. 35.9; d = 2.529 Å, 2θ = 35.49°, rel. 27.1; d = 3.246 Å, 2θ = 27.47°, rel. 19.5; d = 4.164 Å, 2θ = 21.34°, rel. 13.1; d = 2.229 Å, 2θ = 40.46°, rel. 11.7

a = 10.856 Å, b = 5.497 Å, c = 11.287 Å
α = 71.31°, β = 28.67°, γ = 80.02°
Sites, in units of the cell vectors:
1 V 0.104 0.896 0.297
2 V 0.547 0.953 0.354
3 V 0.896 0.104 0.703
4 V 0.953 0.547 0.146
5 Cu 0.021 0.437 0.806
6 Cu 0.437 0.021 0.736
7 Cu 0.444 0.514 0.229
8 Cu 0.514 0.444 0.813
9 O 0.009 0.409 0.990
10 O 0.084 0.084 0.416
11 O 0.115 0.285 0.600
12 O 0.251 0.650 0.965
13 O 0.260 0.658 0.241
14 O 0.285 0.115 0.999
15 O 0.338 0.713 0.486
16 O 0.409 0.009 0.592
17 O 0.650 0.251 0.135
18 O 0.658 0.260 0.841
19 O 0.713 0.338 0.463
20 O 0.764 0.787 0.912
21 O 0.787 0.764 0.537
22 O 0.834 0.834 0.166

Structure and calculated X-ray powder pattern of VCu3O4 (the GGA+U geometry in Alexandria; Cu Kα X-rays).
Neutral-atom scattering factors, no anomalous dispersion.

Top 6 peaks for 15° ≤ 2θ ≤ 90°, by intensity:
d = 2.636 Å, 2θ = 34.01°, rel. 100.0; d = 1.610 Å, 2θ = 57.20°, rel. 27.6; d = 1.382 Å, 2θ = 67.82°, rel. 22.5; d = 2.295 Å, 2θ = 39.26°, rel. 18.0; d = 1.623 Å, 2θ = 56.74°, rel. 14.2; d = 1.367 Å, 2θ = 68.67°, rel. 10.8

a = 4.589 Å, b = 4.589 Å, c = 9.042 Å
α = 90.00°, β = 90.00°, γ = 90.00°
Sites, in units of the cell vectors:
1 V 0.000 0.000 0.000
2 V 0.500 0.500 0.500
3 Cu 0.000 0.000 0.500
4 Cu 0.000 0.500 0.250
5 Cu 0.000 0.500 0.750
6 Cu 0.500 0.000 0.250
7 Cu 0.500 0.000 0.750
8 Cu 0.500 0.500 0.000
9 O 0.226 0.226 0.114
10 O 0.226 0.774 0.886
11 O 0.274 0.274 0.614
12 O 0.274 0.726 0.386
13 O 0.726 0.274 0.386
14 O 0.726 0.726 0.614
15 O 0.774 0.226 0.886
16 O 0.774 0.774 0.114

Structure and calculated X-ray powder pattern of V6Cu2O15 (the GGA+U geometry in Alexandria; Cu Kα X-rays).
Neutral-atom scattering factors, no anomalous dispersion.

Top 6 peaks for 15° ≤ 2θ ≤ 90°, by intensity:
d = 3.494 Å, 2θ = 25.50°, rel. 100.0; d = 3.174 Å, 2θ = 28.12°, rel. 91.2; d = 2.912 Å, 2θ = 30.70°, rel. 70.6; d = 2.750 Å, 2θ = 32.56°, rel. 35.2; d = 1.865 Å, 2θ = 48.84°, rel. 35.0; d = 3.457 Å, 2θ = 25.77°, rel. 30.4

a = 3.730 Å, b = 7.948 Å, c = 10.284 Å
α = 106.31°, β = 90.87°, γ = 103.04°
Sites, in units of the cell vectors:
1 V 0.122 0.227 0.116
2 V 0.284 0.574 0.408
3 V 0.331 0.661 0.088
4 V 0.669 0.339 0.912
5 V 0.716 0.426 0.592
6 V 0.878 0.773 0.884
7 Cu 0.435 0.061 0.351
8 Cu 0.565 0.939 0.649
9 O 0.000 0.000 0.000
10 O 0.131 0.197 0.272
11 O 0.191 0.379 0.971
12 O 0.241 0.478 0.568
13 O 0.257 0.520 0.229
14 O 0.362 0.737 0.913
15 O 0.403 0.800 0.470
16 O 0.428 0.863 0.206
17 O 0.572 0.137 0.794
18 O 0.597 0.200 0.530
19 O 0.638 0.263 0.087
20 O 0.743 0.480 0.771
21 O 0.759 0.522 0.432
22 O 0.809 0.621 0.029
23 O 0.869 0.803 0.728

Structure and calculated X-ray powder pattern of V2CuO8 (the GGA+U geometry in Alexandria; Cu Kα X-rays).
Neutral-atom scattering factors, no anomalous dispersion.

Top 6 peaks for 15° ≤ 2θ ≤ 90°, by intensity:
d = 3.930 Å, 2θ = 22.63°, rel. 100.0; d = 3.198 Å, 2θ = 27.90°, rel. 98.9; d = 4.079 Å, 2θ = 21.79°, rel. 91.5; d = 5.787 Å, 2θ = 15.31°, rel. 76.0; d = 2.825 Å, 2θ = 31.68°, rel. 39.1; d = 4.042 Å, 2θ = 21.99°, rel. 28.4

a = 5.794 Å, b = 5.649 Å, c = 10.955 Å
α = 90.00°, β = 92.89°, γ = 90.00°
Sites, in units of the cell vectors:
1 V 0.231 0.058 0.162
2 V 0.231 0.942 0.662
3 V 0.769 0.058 0.338
4 V 0.769 0.942 0.838
5 Cu 0.000 0.500 0.000
6 Cu 0.000 0.500 0.500
7 O 0.000 0.055 0.750
8 O 0.000 0.945 0.250
9 O 0.165 0.358 0.129
10 O 0.165 0.642 0.629
11 O 0.236 0.403 0.919
12 O 0.236 0.597 0.419
13 O 0.239 0.105 0.539
14 O 0.239 0.895 0.039
15 O 0.500 0.046 0.250
16 O 0.500 0.954 0.750
17 O 0.761 0.105 0.961
18 O 0.761 0.895 0.461
19 O 0.764 0.403 0.581
20 O 0.764 0.597 0.081
21 O 0.835 0.358 0.371
22 O 0.835 0.642 0.871

Structure and calculated X-ray powder pattern of V6CuO15 (the GGA+U geometry in Alexandria; Cu Kα X-rays).
Neutral-atom scattering factors, no anomalous dispersion.

Top 6 peaks for 15° ≤ 2θ ≤ 90°, by intensity:
d = 3.161 Å, 2θ = 28.23°, rel. 100.0; d = 3.448 Å, 2θ = 25.84°, rel. 84.9; d = 2.917 Å, 2θ = 30.65°, rel. 80.1; d = 3.434 Å, 2θ = 25.94°, rel. 65.1; d = 1.843 Å, 2θ = 49.44°, rel. 49.1; d = 2.747 Å, 2θ = 32.60°, rel. 33.2

a = 7.374 Å, b = 7.945 Å, c = 10.282 Å
α = 106.73°, β = 90.32°, γ = 103.19°
Sites, in units of the cell vectors:
1 V 0.000 0.000 0.000
2 V 0.020 0.104 0.692
3 V 0.113 0.444 0.984
4 V 0.227 0.900 0.215
5 V 0.306 0.232 0.503
6 V 0.337 0.340 0.196
7 V 0.502 0.007 0.008
8 V 0.526 0.094 0.691
9 V 0.608 0.441 0.978
10 V 0.728 0.894 0.218
11 V 0.806 0.252 0.505
12 V 0.834 0.332 0.187
13 Cu 0.394 0.591 0.751
14 Cu 0.867 0.707 0.467
15 O 0.039 0.150 0.877
16 O 0.044 0.191 0.528
17 O 0.086 0.308 0.144
18 O 0.146 0.466 0.828
19 O 0.168 0.671 0.098
20 O 0.211 0.879 0.368
21 O 0.251 0.038 0.052
22 O 0.282 0.141 0.665
23 O 0.294 0.189 0.318
24 O 0.354 0.407 0.021
25 O 0.366 0.455 0.568
26 O 0.397 0.535 0.309
27 O 0.454 0.806 0.890
28 O 0.486 0.935 0.184
29 O 0.488 0.877 0.640
30 O 0.537 0.157 0.874
31 O 0.542 0.176 0.522
32 O 0.564 0.285 0.139
33 O 0.588 0.475 0.827
34 O 0.668 0.670 0.098
35 O 0.739 0.860 0.369
36 O 0.772 0.055 0.057
37 O 0.792 0.174 0.677
38 O 0.797 0.185 0.323
39 O 0.849 0.472 0.552
40 O 0.851 0.405 0.010
41 O 0.873 0.534 0.304
42 O 0.943 0.804 0.889
43 O 0.946 0.881 0.632
44 O 0.983 0.933 0.177

Structure and calculated X-ray powder pattern of V4ZnCu3O14 (the GGA+U geometry in Alexandria; Cu Kα X-rays).
Neutral-atom scattering factors, no anomalous dispersion.

Top 6 peaks for 15° ≤ 2θ ≤ 90°, by intensity:
d = 3.709 Å, 2θ = 23.99°, rel. 100.0; d = 3.124 Å, 2θ = 28.58°, rel. 60.0; d = 3.104 Å, 2θ = 28.76°, rel. 35.5; d = 3.153 Å, 2θ = 28.31°, rel. 26.8; d = 3.245 Å, 2θ = 27.49°, rel. 17.8; d = 5.521 Å, 2θ = 16.05°, rel. 14.6

a = 5.623 Å, b = 5.713 Å, c = 10.259 Å
α = 103.94°, β = 103.23°, γ = 91.89°
Sites, in units of the cell vectors:
1 V 0.000 0.000 0.000
2 V 0.000 0.092 0.423
3 V 0.460 0.543 0.501
4 V 0.558 0.551 0.927
5 Zn 0.420 0.819 0.237
6 Cu 0.238 0.922 0.727
7 Cu 0.624 0.322 0.201
8 Cu 0.777 0.177 0.703
9 O 0.014 0.062 0.839
10 O 0.154 0.386 0.453
11 O 0.156 0.884 0.341
12 O 0.284 0.033 0.111
13 O 0.363 0.724 0.849
14 O 0.458 0.824 0.609
15 O 0.486 0.540 0.087
16 O 0.546 0.268 0.815
17 O 0.546 0.569 0.349
18 O 0.654 0.374 0.583
19 O 0.706 0.084 0.315
20 O 0.817 0.188 0.076
21 O 0.866 0.692 0.966
22 O 0.995 0.032 0.585

Number 2 is which compound? V2Cu3O11